Record 1
Theoretical X-ray diffraction stick pattern of Ce2Ni7P4 for Cu Kα X-rays, from a crystal structure in the Materials Project, relaxed with GGA-PBE.
Neutral-atom scattering factors, no anomalous dispersion.

Cell: 3.759 9.150 10.353 Å, 90.00 90.00 90.00°
Fractional coordinates of all 26 atoms:
Ce 0.000 0.059 0.000
Ce 0.000 0.439 0.221
Ce 0.500 0.561 0.721
Ce 0.500 0.941 0.500
Ni 0.000 0.059 0.697
Ni 0.000 0.100 0.300
Ni 0.000 0.307 0.788
Ni 0.000 0.420 0.530
Ni 0.000 0.685 0.486
Ni 0.000 0.723 0.889
Ni 0.000 0.745 0.121
Ni 0.500 0.255 0.621
Ni 0.500 0.277 0.389
Ni 0.500 0.315 0.986
Ni 0.500 0.580 0.030
Ni 0.500 0.693 0.288
Ni 0.500 0.900 0.800
Ni 0.500 0.941 0.197
P 0.000 0.183 0.505
P 0.000 0.474 0.940
P 0.000 0.811 0.686
P 0.000 0.845 0.309
P 0.500 0.155 0.809
P 0.500 0.189 0.186
P 0.500 0.526 0.440
P 0.500 0.817 0.005

The 10 most intense peaks (2θ = 5–70°), low angle first:
27.05°, I = 17.6
34.66°, I = 19.5
35.44°, I = 24.7
36.69°, I = 100.0
37.99°, I = 83.6
40.02°, I = 17.1
40.60°, I = 34.7
43.59°, I = 26.8
47.70°, I = 36.9
48.43°, I = 47.0



Record 2
Theoretical X-ray diffraction stick pattern of Ce9Ni26P12 for Cu Kα X-rays, from a crystal structure in the Materials Project, relaxed with GGA-PBE.
Neutral-atom scattering factors, no anomalous dispersion.

Cell: 14.370 14.370 3.848 Å, 90.00 90.00 120.00°
Fractional coordinates of all 47 atoms:
Ce 0.049 0.524 0.000
Ce 0.092 0.183 0.500
Ce 0.092 0.908 0.500
Ce 0.476 0.524 0.000
Ce 0.476 0.951 0.000
Ce 0.482 0.241 0.000
Ce 0.759 0.241 0.000
Ce 0.759 0.518 0.000
Ce 0.817 0.908 0.500
Ni 0.000 0.000 0.000
Ni 0.121 0.410 0.500
Ni 0.121 0.711 0.500
Ni 0.220 0.610 0.500
Ni 0.269 0.538 0.000
Ni 0.269 0.731 0.000
Ni 0.287 0.005 0.000
Ni 0.287 0.282 0.000
Ni 0.288 0.144 0.500
Ni 0.289 0.410 0.500
Ni 0.289 0.879 0.500
Ni 0.390 0.610 0.500
Ni 0.390 0.780 0.500
Ni 0.462 0.731 0.000
Ni 0.570 0.141 0.500
Ni 0.570 0.430 0.500
Ni 0.590 0.711 0.500
Ni 0.590 0.879 0.500
Ni 0.667 0.333 0.500
Ni 0.718 0.005 0.000
Ni 0.718 0.713 0.000
Ni 0.856 0.144 0.500
Ni 0.856 0.712 0.500
Ni 0.859 0.430 0.500
Ni 0.995 0.282 0.000
Ni 0.995 0.713 0.000
P 0.182 0.363 0.000
P 0.182 0.818 0.000
P 0.185 0.093 0.000
P 0.389 0.059 0.500
P 0.389 0.331 0.500
P 0.637 0.818 0.000
P 0.669 0.059 0.500
P 0.669 0.611 0.500
P 0.907 0.093 0.000
P 0.907 0.815 0.000
P 0.941 0.331 0.500
P 0.941 0.611 0.500

The 10 most intense peaks (2θ = 5–70°), low angle first:
21.42°, I = 8.1
34.92°, I = 24.8
37.16°, I = 100.0
37.55°, I = 10.2
40.67°, I = 15.3
44.27°, I = 23.0
47.25°, I = 24.1
50.83°, I = 14.4
57.07°, I = 19.3
66.75°, I = 15.1



Record 3
Theoretical X-ray diffraction stick pattern of CeNi10P4 for Cu Kα X-rays, from a crystal structure in the Materials Project, relaxed with GGA-PBE.
Neutral-atom scattering factors, no anomalous dispersion.

Cell: 9.217 3.640 21.956 Å, 90.00 90.00 90.00°
Fractional coordinates of all 60 atoms:
Ce 0.201 0.250 0.108
Ce 0.299 0.750 0.608
Ce 0.701 0.250 0.392
Ce 0.799 0.750 0.892
Ni 0.019 0.250 0.306
Ni 0.036 0.250 0.962
Ni 0.050 0.250 0.417
Ni 0.077 0.750 0.221
Ni 0.083 0.250 0.531
Ni 0.098 0.750 0.797
Ni 0.160 0.250 0.716
Ni 0.173 0.750 0.903
Ni 0.192 0.750 0.468
Ni 0.206 0.750 0.329
Ni 0.294 0.250 0.829
Ni 0.308 0.250 0.968
Ni 0.327 0.250 0.403
Ni 0.340 0.750 0.216
Ni 0.402 0.250 0.297
Ni 0.417 0.750 0.031
Ni 0.423 0.250 0.721
Ni 0.450 0.750 0.917
Ni 0.464 0.750 0.462
Ni 0.481 0.750 0.806
Ni 0.519 0.250 0.194
Ni 0.536 0.250 0.538
Ni 0.550 0.250 0.083
Ni 0.577 0.750 0.279
Ni 0.583 0.250 0.969
Ni 0.598 0.750 0.703
Ni 0.660 0.250 0.784
Ni 0.673 0.750 0.597
Ni 0.692 0.750 0.032
Ni 0.706 0.750 0.171
Ni 0.794 0.250 0.671
Ni 0.808 0.250 0.532
Ni 0.827 0.250 0.097
Ni 0.840 0.750 0.284
Ni 0.902 0.250 0.203
Ni 0.917 0.750 0.469
Ni 0.923 0.250 0.779
Ni 0.950 0.750 0.583
Ni 0.964 0.750 0.038
Ni 0.981 0.750 0.694
P 0.025 0.250 0.632
P 0.062 0.250 0.861
P 0.185 0.750 0.001
P 0.205 0.250 0.243
P 0.295 0.750 0.743
P 0.315 0.250 0.501
P 0.438 0.750 0.361
P 0.475 0.750 0.132
P 0.525 0.250 0.868
P 0.562 0.250 0.639
P 0.685 0.750 0.499
P 0.705 0.250 0.257
P 0.795 0.750 0.757
P 0.815 0.250 0.999
P 0.938 0.750 0.139
P 0.975 0.750 0.368

The 10 most intense peaks (2θ = 5–70°), low angle first:
33.68°, I = 29.0
35.66°, I = 31.1
37.87°, I = 64.8
38.57°, I = 33.3
39.24°, I = 100.0
42.82°, I = 36.1
44.72°, I = 49.4
47.42°, I = 42.7
50.13°, I = 77.7
54.82°, I = 24.7



Record 4
Theoretical X-ray diffraction stick pattern of CeNiP for Cu Kα X-rays, from a crystal structure in the Materials Project, relaxed with GGA-PBE.
Neutral-atom scattering factors, no anomalous dispersion.

Cell: 3.974 3.974 15.798 Å, 90.00 90.00 120.00°
Fractional coordinates of all 12 atoms:
Ce 0.000 0.000 0.000
Ce 0.000 0.000 0.250
Ce 0.000 0.000 0.500
Ce 0.000 0.000 0.750
Ni 0.333 0.667 0.125
Ni 0.333 0.667 0.375
Ni 0.667 0.333 0.625
Ni 0.667 0.333 0.875
P 0.333 0.667 0.629
P 0.333 0.667 0.871
P 0.667 0.333 0.129
P 0.667 0.333 0.371

The 10 most intense peaks (2θ = 5–70°), low angle first:
22.51°, I = 2.3
25.89°, I = 24.6
26.51°, I = 2.3
34.57°, I = 100.0
45.66°, I = 35.5
45.96°, I = 11.6
53.23°, I = 3.6
53.50°, I = 7.5
58.51°, I = 21.3
66.79°, I = 22.0



Record 5
Theoretical X-ray diffraction stick pattern of Ce2NiPt for Cu Kα X-rays, from a crystal structure in the Materials Project, relaxed with GGA-PBE.
Neutral-atom scattering factors, no anomalous dispersion.

Cell: 4.313 5.761 5.761 Å, 38.01 90.00 90.00°
Fractional coordinates of all 4 atoms:
Ce 0.000 0.000 0.000
Ce 0.500 0.272 0.272
Ni 0.000 0.727 0.727
Pt 0.500 0.552 0.552

The 10 most intense peaks (2θ = 5–70°), low angle first:
16.27°, I = 18.7
32.68°, I = 100.0
32.89°, I = 34.5
34.37°, I = 22.0
39.12°, I = 20.7
40.40°, I = 72.6
41.89°, I = 28.1
48.52°, I = 18.4
54.26°, I = 16.6
66.00°, I = 14.5



Record 6
Theoretical X-ray diffraction stick pattern of Ce2NiRu3 for Cu Kα X-rays, from a crystal structure in the Materials Project, relaxed with GGA-PBE.
Neutral-atom scattering factors, no anomalous dispersion.

Cell: 5.227 5.227 5.227 Å, 61.47 61.47 61.47°
Fractional coordinates of all 6 atoms:
Ce 0.125 0.125 0.125
Ce 0.875 0.875 0.875
Ni 0.500 0.500 0.500
Ru 0.000 0.500 0.500
Ru 0.500 0.000 0.500
Ru 0.500 0.500 0.000

The 10 most intense peaks (2θ = 5–70°), low angle first:
33.55°, I = 35.3
34.33°, I = 57.4
39.61°, I = 75.3
39.95°, I = 100.0
40.62°, I = 48.5
41.57°, I = 47.4
60.49°, I = 22.5
64.32°, I = 23.8
64.80°, I = 23.7
65.52°, I = 16.7